Structure and theoretical X-ray powder pattern of PaCdSnBi (a structure optimized by DFT (GGA-PBE); Cu Kα (λ = 1.5418 Å)).

Peak list (12 most intense, 2θ = 10–90°, low angle first)
(hkl)	2θ (°)	Rel. int.
0 1 0	18.03	91
1 0 1	27.60	68
1 1 1	33.17	1000
0 2 0	36.50	388
2 0 0	42.21	130
1 2 1	46.39	36
0 2 2	52.58	138
2 2 0	57.01	218
1 3 1	63.60	315
2 2 2	69.61	121
3 1 1	71.43	113
1 3 3	87.00	70

Structural model:
Lattice parameters (Å, degrees): 4.2823 4.9191 4.9265 90.00 90.00 90.00
Atoms (fractional coordinates):
Pa  0.0000  0.0000  0.0000
Cd  0.0000  0.5000  0.5000
Sn  0.5000  0.5000  0.0000
Bi  0.5000  0.0000  0.5000